No. 1
TbPrGePt: theoretical PXRD pattern (Cu Ka), based on a cell relaxed with PBE.
Peak positions follow from Bragg's law for the DFT cell and can differ from measured ones.

Most intense lines, 2θ = 10–80°, low angle first:
| 2theta | d (Å) | I/Imax |
| --- | --- | --- |
| 15.84 | 5.595 | 20.3 |
| 31.35 | 2.853 | 100.0 |
| 31.99 | 2.797 | 29.8 |
| 32.61 | 2.746 | 24.2 |
| 38.40 | 2.344 | 22.7 |
| 38.92 | 2.314 | 69.0 |
| 42.05 | 2.149 | 25.3 |
| 44.65 | 2.029 | 21.3 |
| 63.00 | 1.475 | 15.3 |
| 78.16 | 1.223 | 14.1 |

Crystal structure
```
TbPrGePt
1.0
4.2976 0.0000 0.0000
0.0000 2.0294 5.5946
0.0000 -2.0294 5.5946
Tb Pr Ge Pt
1 1 1 1
Direct
0.0000 0.0000 0.0000 Tb
0.5000 0.2767 0.2767 Pr
0.0000 0.7096 0.7096 Ge
0.5000 0.5493 0.5493 Pt
```


No. 2
FeRhSe2: theoretical PXRD pattern (Cu Ka), based on a cell relaxed with PBE.
Peak positions follow from Bragg's law for the DFT cell and can differ from measured ones.

Most intense lines, 2θ = 10–80°, low angle first:
| 2theta | d (Å) | I/Imax |
| --- | --- | --- |
| 15.63 | 5.670 | 100.0 |
| 28.05 | 3.181 | 96.5 |
| 36.68 | 2.450 | 46.0 |
| 46.23 | 1.964 | 45.5 |
| 46.33 | 1.960 | 45.2 |
| 47.31 | 1.921 | 42.4 |
| 50.13 | 1.820 | 18.4 |
| 54.05 | 1.697 | 11.3 |
| 55.91 | 1.645 | 27.2 |
| 69.14 | 1.359 | 13.2 |

Crystal structure
```
FeRhSe2
1.0
3.8415 0.0000 0.0000
0.0000 3.8439 0.0000
-0.0166 0.0000 5.6701
Fe Rh Se
1 1 2
Direct
0.0000 0.0000 0.0000 Fe
0.5001 0.5000 0.0002 Rh
0.5009 0.0000 0.2498 Se
0.9990 0.5000 0.7505 Se
```


No. 3
Li5InPd: theoretical PXRD pattern (Cu Ka), based on a cell relaxed with PBE.
Peak positions follow from Bragg's law for the DFT cell and can differ from measured ones.

Most intense lines, 2θ = 10–80°, low angle first:
| 2theta | d (Å) | I/Imax |
| --- | --- | --- |
| 19.70 | 4.507 | 47.8 |
| 20.00 | 4.438 | 100.0 |
| 33.86 | 2.648 | 16.0 |
| 34.65 | 2.589 | 20.6 |
| 35.20 | 2.550 | 14.4 |
| 39.47 | 2.283 | 14.2 |
| 39.64 | 2.274 | 40.4 |
| 40.65 | 2.219 | 17.3 |
| 49.23 | 1.851 | 15.4 |
| 53.91 | 1.701 | 15.8 |

Crystal structure
```
Li5InPd
1.0
-2.5498 2.6476 4.5067
2.5498 -2.6476 4.5067
2.5498 2.6476 -4.5067
Li In Pd
5 1 1
Direct
0.0000 0.0000 0.0000 Li
0.4877 0.2306 0.7429 Li
0.4877 0.7448 0.2571 Li
0.5442 0.2707 0.2735 Li
0.9971 0.2707 0.7265 Li
0.1657 0.6657 0.5000 In
0.7283 0.7283 0.0000 Pd
```


No. 4
OsS2: theoretical PXRD pattern (Cu Ka), based on a cell relaxed with PBE.
Peak positions follow from Bragg's law for the DFT cell and can differ from measured ones.

Most intense lines, 2θ = 10–80°, low angle first:
| 2theta | d (Å) | I/Imax |
| --- | --- | --- |
| 27.28 | 3.269 | 100.0 |
| 31.60 | 2.831 | 78.0 |
| 35.45 | 2.532 | 5.8 |
| 38.96 | 2.312 | 4.8 |
| 45.30 | 2.002 | 54.6 |
| 53.69 | 1.707 | 80.7 |
| 56.28 | 1.635 | 19.2 |
| 66.00 | 1.416 | 4.2 |
| 72.81 | 1.299 | 22.8 |
| 75.02 | 1.266 | 23.1 |

Crystal structure
```
OsS2
1.0
5.6621 0.0000 0.0000
0.0000 5.6621 0.0000
0.0000 0.0000 5.6621
Os S
4 8
Direct
0.0000 0.0000 0.0000 Os
0.0000 0.5000 0.5000 Os
0.5000 0.0000 0.5000 Os
0.5000 0.5000 0.0000 Os
0.1161 0.6161 0.8839 S
0.1161 0.8839 0.3839 S
0.3839 0.1161 0.8839 S
0.3839 0.3839 0.3839 S
0.6161 0.6161 0.6161 S
0.6161 0.8839 0.1161 S
0.8839 0.1161 0.6161 S
0.8839 0.3839 0.1161 S
```


No. 5
ScAl3C3: theoretical PXRD pattern (Cu Ka), based on a cell relaxed with PBE.
Peak positions follow from Bragg's law for the DFT cell and can differ from measured ones.

Most intense lines, 2θ = 10–80°, low angle first:
| 2theta | d (Å) | I/Imax |
| --- | --- | --- |
| 10.54 | 8.391 | 13.7 |
| 32.55 | 2.751 | 100.0 |
| 34.73 | 2.583 | 15.9 |
| 37.60 | 2.392 | 63.1 |
| 41.04 | 2.200 | 49.3 |
| 43.12 | 2.098 | 33.0 |
| 44.94 | 2.017 | 49.5 |
| 54.59 | 1.681 | 67.9 |
| 64.04 | 1.454 | 14.0 |
| 71.98 | 1.312 | 40.2 |

Crystal structure
```
ScAl3C3
1.0
3.3623 0.0000 0.0000
-1.6812 2.9118 0.0000
0.0000 0.0000 16.7823
Sc Al C
2 6 6
Direct
0.0000 0.0000 0.0000 Sc
0.0000 0.0000 0.5000 Sc
0.3333 0.6667 0.1290 Al
0.3333 0.6667 0.3710 Al
0.3333 0.6667 0.7500 Al
0.6667 0.3333 0.2500 Al
0.6667 0.3333 0.6290 Al
0.6667 0.3333 0.8710 Al
0.3333 0.6667 0.2500 C
0.3333 0.6667 0.5866 C
0.3333 0.6667 0.9134 C
0.6667 0.3333 0.0866 C
0.6667 0.3333 0.4134 C
0.6667 0.3333 0.7500 C
```


No. 6
Dy8Hg3CSe3: theoretical PXRD pattern (Cu Ka), based on a cell relaxed with PBE.
Peak positions follow from Bragg's law for the DFT cell and can differ from measured ones.

Most intense lines, 2θ = 10–80°, low angle first:
| 2theta | d (Å) | I/Imax |
| --- | --- | --- |
| 13.52 | 6.548 | 17.3 |
| 30.55 | 2.926 | 100.0 |
| 32.84 | 2.728 | 20.4 |
| 41.44 | 2.179 | 39.8 |
| 45.95 | 1.975 | 30.6 |
| 56.19 | 1.637 | 14.5 |
| 59.54 | 1.553 | 9.2 |
| 63.58 | 1.463 | 10.9 |
| 68.88 | 1.363 | 9.9 |
| 75.43 | 1.260 | 11.2 |

Crystal structure
```
Dy8Hg3CSe3
1.0
3.9497 2.2804 7.5361
-3.9497 2.2804 7.5361
0.0000 -4.5607 7.5361
Dy Hg C Se
8 3 1 3
Direct
0.2419 0.2419 0.2419 Dy
0.2781 0.7127 0.7127 Dy
0.2873 0.2873 0.7219 Dy
0.2873 0.7219 0.2873 Dy
0.7127 0.2781 0.7127 Dy
0.7127 0.7127 0.2781 Dy
0.7219 0.2873 0.2873 Dy
0.7581 0.7581 0.7581 Dy
0.0000 0.5000 0.5000 Hg
0.5000 0.0000 0.5000 Hg
0.5000 0.5000 0.0000 Hg
0.5000 0.5000 0.5000 C
0.0000 0.0000 0.5000 Se
0.0000 0.5000 0.0000 Se
0.5000 0.0000 0.0000 Se
```


No. 7
ErBe17Fe: theoretical PXRD pattern (Cu Ka), based on a cell relaxed with PBE.
Peak positions follow from Bragg's law for the DFT cell and can differ from measured ones.

Most intense lines, 2θ = 10–80°, low angle first:
| 2theta | d (Å) | I/Imax |
| --- | --- | --- |
| 15.96 | 5.554 | 100.0 |
| 21.36 | 4.160 | 67.5 |
| 23.86 | 3.729 | 99.6 |
| 24.55 | 3.626 | 32.1 |
| 28.84 | 3.096 | 30.7 |
| 34.50 | 2.600 | 96.4 |
| 37.77 | 2.382 | 30.2 |
| 40.50 | 2.227 | 28.6 |
| 41.96 | 2.153 | 34.7 |
| 49.22 | 1.851 | 50.2 |

Crystal structure
```
ErBe17Fe
1.0
3.7292 2.1530 3.6256
-3.7292 2.1530 3.6256
0.0000 -4.3061 3.6256
Er Be Fe
1 17 1
Direct
0.0000 0.0000 0.0000 Er
0.0081 0.0081 0.4948 Be
0.0081 0.4948 0.0081 Be
0.1548 0.6636 0.6636 Be
0.3188 0.3188 0.7934 Be
0.3188 0.7934 0.3188 Be
0.3690 0.6508 0.9572 Be
0.3690 0.9572 0.6508 Be
0.4948 0.0081 0.0081 Be
0.5579 0.5579 0.5579 Be
0.6508 0.3690 0.9572 Be
0.6508 0.9572 0.3690 Be
0.6636 0.1548 0.6636 Be
0.6636 0.6636 0.1548 Be
0.7521 0.7521 0.7521 Be
0.7934 0.3188 0.3188 Be
0.9572 0.3690 0.6508 Be
0.9572 0.6508 0.3690 Be
0.3399 0.3399 0.3399 Fe
```


No. 8
BaZn3Pt: theoretical PXRD pattern (Cu Ka), based on a cell relaxed with PBE.
Peak positions follow from Bragg's law for the DFT cell and can differ from measured ones.

Most intense lines, 2θ = 10–80°, low angle first:
| 2theta | d (Å) | I/Imax |
| --- | --- | --- |
| 14.57 | 6.080 | 55.3 |
| 25.42 | 3.504 | 42.9 |
| 29.60 | 3.018 | 100.0 |
| 31.30 | 2.858 | 73.5 |
| 32.63 | 2.745 | 42.8 |
| 37.39 | 2.405 | 37.9 |
| 41.78 | 2.162 | 37.8 |
| 43.44 | 2.083 | 42.4 |
| 43.82 | 2.066 | 27.3 |
| 44.67 | 2.029 | 24.3 |

Crystal structure
```
BaZn3Pt
1.0
6.7307 -5.4890 0.0000
6.7307 5.4890 0.0000
-2.9124 0.0000 6.1337
Ba Zn Pt
4 12 4
Direct
0.0016 0.2770 0.4897 Ba
0.2770 0.0016 0.9897 Ba
0.7230 0.9984 0.0103 Ba
0.9984 0.7230 0.5103 Ba
0.0423 0.3586 0.0419 Zn
0.2731 0.5842 0.0229 Zn
0.3016 0.4143 0.3405 Zn
0.3586 0.0423 0.5419 Zn
0.4143 0.3016 0.8405 Zn
0.4158 0.7269 0.4771 Zn
0.5842 0.2731 0.5229 Zn
0.5857 0.6984 0.1595 Zn
0.6414 0.9577 0.4581 Zn
0.6984 0.5857 0.6595 Zn
0.7269 0.4158 0.9771 Zn
0.9577 0.6414 0.9581 Zn
0.1428 0.8572 0.2500 Pt
0.4305 0.5695 0.7500 Pt
0.5695 0.4305 0.2500 Pt
0.8572 0.1428 0.7500 Pt
```


No. 9
Tb2PmY2Tm2: theoretical PXRD pattern (Cu Ka), based on a cell relaxed with PBE.
Peak positions follow from Bragg's law for the DFT cell and can differ from measured ones.

Most intense lines, 2θ = 10–80°, low angle first:
| 2theta | d (Å) | I/Imax |
| --- | --- | --- |
| 30.08 | 2.971 | 15.9 |
| 31.08 | 2.878 | 82.5 |
| 31.56 | 2.835 | 100.0 |
| 31.79 | 2.815 | 40.8 |
| 32.79 | 2.731 | 49.7 |
| 33.90 | 2.644 | 30.9 |
| 46.32 | 1.960 | 29.0 |
| 55.43 | 1.658 | 19.4 |
| 57.77 | 1.596 | 18.5 |
| 61.79 | 1.501 | 29.1 |

Crystal structure
```
Tb2PmY2Tm2
1.0
-1.7700 2.7312 11.6076
1.7700 -2.7312 11.6076
1.7700 2.7312 -11.6076
Tb Pm Y Tm
2 1 2 2
Direct
0.2235 0.2235 0.0000 Tb
0.7765 0.7765 0.0000 Tb
0.5000 0.0000 0.5000 Pm
0.3579 0.8579 0.5000 Y
0.6421 0.1421 0.5000 Y
0.0794 0.5794 0.5000 Tm
0.9206 0.4206 0.5000 Tm
```


No. 10
ThZn4Cu4: theoretical PXRD pattern (Cu Ka), based on a cell relaxed with PBE.
Peak positions follow from Bragg's law for the DFT cell and can differ from measured ones.

Most intense lines, 2θ = 10–80°, low angle first:
| 2theta | d (Å) | I/Imax |
| --- | --- | --- |
| 23.46 | 3.793 | 17.4 |
| 30.50 | 2.931 | 22.5 |
| 31.99 | 2.798 | 100.0 |
| 34.20 | 2.622 | 51.6 |
| 38.83 | 2.319 | 63.3 |
| 42.39 | 2.133 | 40.0 |
| 44.78 | 2.024 | 75.6 |
| 55.55 | 1.654 | 25.5 |
| 56.61 | 1.626 | 27.9 |
| 73.21 | 1.293 | 25.3 |

Crystal structure
```
ThZn4Cu4
1.0
-4.1450 4.1450 2.1325
4.1450 -4.1450 2.1325
4.1450 4.1450 -2.1325
Th Zn Cu
1 4 4
Direct
0.0000 0.0000 0.0000 Th
0.0980 0.6157 0.7137 Zn
0.3843 0.0980 0.4823 Zn
0.6157 0.9020 0.5177 Zn
0.9020 0.3843 0.2863 Zn
0.2719 0.3652 0.6371 Cu
0.3652 0.7281 0.0932 Cu
0.6348 0.2719 0.9068 Cu
0.7281 0.6348 0.3629 Cu
```


No. 11
Tm5Si2Te2: theoretical PXRD pattern (Cu Ka), based on a cell relaxed with PBE.
Peak positions follow from Bragg's law for the DFT cell and can differ from measured ones.

Most intense lines, 2θ = 10–80°, low angle first:
| 2theta | d (Å) | I/Imax |
| --- | --- | --- |
| 25.95 | 3.434 | 62.9 |
| 26.54 | 3.358 | 53.3 |
| 31.53 | 2.837 | 51.7 |
| 32.94 | 2.719 | 48.3 |
| 33.37 | 2.685 | 100.0 |
| 34.13 | 2.627 | 75.5 |
| 35.44 | 2.533 | 77.5 |
| 37.37 | 2.406 | 58.2 |
| 37.54 | 2.396 | 56.7 |
| 59.58 | 1.552 | 42.8 |

Crystal structure
```
Tm5Si2Te2
1.0
7.5013 -3.8350 0.0000
7.5013 3.8350 0.0000
0.0000 0.0000 7.7134
Tm Si Te
10 4 4
Direct
0.0000 0.0000 0.0000 Tm
0.0395 0.7141 0.6642 Tm
0.2141 0.5395 0.1642 Tm
0.2859 0.9605 0.6642 Tm
0.4605 0.7859 0.1642 Tm
0.5000 0.5000 0.5000 Tm
0.5395 0.2141 0.8358 Tm
0.7141 0.0395 0.3358 Tm
0.7859 0.4605 0.8358 Tm
0.9605 0.2859 0.3358 Tm
0.1365 0.8635 0.3656 Si
0.3635 0.6365 0.8656 Si
0.6365 0.3635 0.1344 Si
0.8635 0.1365 0.6344 Si
0.2057 0.2057 0.0000 Te
0.2943 0.2943 0.5000 Te
0.7057 0.7057 0.5000 Te
0.7943 0.7943 0.0000 Te
```